Starting from a crystal structure in Alexandria, relaxed with PBE, the powder X-ray diffraction pattern of Cu2SiCl was calculated for Cu Kα.
Lines closer than 0.1° are merged.

Main lines, sorted by position (10 to 90 degrees two-theta):
| d (Å) | I/Imax | index |
| --- | --- | --- |
| 7.077 | 100.0 | 0 0 1 |
| 2.337 | 56.3 | 1 0 2 |
| 2.201 | 41.9 | 1 1 0 |
| 2.102 | 19.1 | 1 1 1 |
| 1.880 | 43.7 | 1 0 3 |
| 1.199 | 18.0 | 2 1 3 |

Structural model:
```
4
Lattice="3.1124 0.0000 0.0000 0.0000 3.1124 0.0000 0.0000 0.0000 7.0775" Properties=species:S:1:pos:R:3 pbc="T T T"
Cu 0.0000 0.0000 0.0000
Cu 1.5562 1.5562 1.3835
Si 0.0000 0.0000 2.5447
Cl 1.5562 1.5562 5.7340
```